Entry 1:
This entry pairs a crystal structure of NaInTe with its calculated X-ray diffraction stick pattern. Radiation: Cu Ka. Structure: a structure optimized by DFT (PBE).
No peak broadening, texture or thermal motion is included.

Atomic structure:
Cell lengths 4.2613, 5.1431, 9.2662 Å; angles 90.00, 103.24, 90.00 degrees
Fractional positions:
Na (0.1702, 0.2500, 0.3472)
Na (0.8298, 0.7500, 0.6528)
In (0.0338, 0.7500, 0.0696)
In (0.9662, 0.2500, 0.9304)
Te (0.3524, 0.2500, 0.7030)
Te (0.6476, 0.7500, 0.2970)

Main lines, by angle (10 to 90 degrees two-theta):
d (Å)  I_rel
4.468  89
3.477  75
3.228  33
2.572  34
2.428  100
2.131  20
2.067  59
1.455  19

Entry 2:
This entry pairs a crystal structure of TiGa3Mo with its calculated X-ray diffraction stick pattern. Radiation: Cu Ka. Structure: a structure optimized by DFT (PBE).
No peak broadening, texture or thermal motion is included.

Atomic structure:
Cell lengths 6.9992, 6.9992, 6.7371 Å; angles 90.00, 90.00, 92.65 degrees
Fractional positions:
Ti (0.0891, 0.4109, 0.2500)
Ti (0.4109, 0.0891, 0.7500)
Ti (0.5891, 0.9109, 0.2500)
Ti (0.9109, 0.5891, 0.7500)
Ga (0.0483, 0.9517, 0.8241)
Ga (0.0537, 0.2655, 0.6083)
Ga (0.2345, 0.4463, 0.8917)
Ga (0.2655, 0.0537, 0.3917)
Ga (0.4463, 0.2345, 0.1083)
Ga (0.4517, 0.5483, 0.3241)
Ga (0.5483, 0.4517, 0.6759)
Ga (0.5537, 0.7655, 0.8917)
Ga (0.7345, 0.9463, 0.6083)
Ga (0.7655, 0.5537, 0.1083)
Ga (0.9463, 0.7345, 0.3917)
Ga (0.9517, 0.0483, 0.1759)
Mo (0.2229, 0.7771, 0.1073)
Mo (0.2771, 0.7229, 0.6073)
Mo (0.7229, 0.2771, 0.3927)
Mo (0.7771, 0.2229, 0.8927)

Main lines, by angle (10 to 90 degrees two-theta):
d (Å)  I_rel
2.794  76
2.315  100
2.269  63
2.242  39
2.128  46
2.075  24
2.053  37
1.901  19

Entry 3:
This entry pairs a crystal structure of Cs2VSbCl6 with its calculated X-ray diffraction stick pattern. Radiation: Cu Ka. Structure: a structure optimized by DFT (PBE).
No peak broadening, texture or thermal motion is included.

Atomic structure:
Cell lengths 7.9893, 7.9893, 7.9893 Å; angles 125.83, 125.83, 80.16 degrees
Fractional positions:
Cs (0.2500, 0.7500, 0.5000)
Cs (0.7500, 0.2500, 0.5000)
V (0.0000, 0.0000, 0.0000)
Sb (0.5000, 0.5000, 0.0000)
Cl (0.1993, 0.1993, 0.0000)
Cl (0.2414, 0.2414, 0.4827)
Cl (0.2414, 0.7586, 0.0000)
Cl (0.7586, 0.2414, 0.0000)
Cl (0.7586, 0.7586, 0.5173)
Cl (0.8007, 0.8007, 0.0000)

Main lines, by angle (10 to 90 degrees two-theta):
d (Å)  I_rel
3.936  100
3.637  38
3.126  35
3.056  34
2.572  49
2.153  39
1.968  36
1.894  19

Entry 4:
This entry pairs a crystal structure of ScZnGa2Pd2 with its calculated X-ray diffraction stick pattern. Radiation: Cu Ka. Structure: a structure optimized by DFT (PBE).
No peak broadening, texture or thermal motion is included.

Atomic structure:
Cell lengths 4.3867, 4.3867, 5.8906 Å; angles 90.00, 90.00, 120.00 degrees
Fractional positions:
Sc (0.0000, 0.0000, 0.0000)
Zn (0.0000, 0.0000, 0.5000)
Ga (0.3333, 0.6667, 0.2494)
Ga (0.6667, 0.3333, 0.7506)
Pd (0.3333, 0.6667, 0.7189)
Pd (0.6667, 0.3333, 0.2811)

Main lines, by angle (10 to 90 degrees two-theta):
d (Å)  I_rel
2.945  18
2.328  93
2.193  100
1.759  24
1.596  27
1.291  26
1.266  16
1.223  21

Entry 5:
This entry pairs a crystal structure of Tb2Pr5Ho3 with its calculated X-ray diffraction stick pattern. Radiation: Cu Ka. Structure: a structure optimized by DFT (PBE).
No peak broadening, texture or thermal motion is included.

Atomic structure:
Cell lengths 9.2078, 9.2078, 10.1124 Å; angles 108.25, 108.25, 108.18 degrees
Fractional positions:
Tb (0.0250, 0.2827, 0.0586)
Tb (0.2827, 0.0250, 0.5586)
Tb (0.7173, 0.9750, 0.4414)
Tb (0.9750, 0.7173, 0.9414)
Pr (0.0187, 0.9813, 0.7500)
Pr (0.1217, 0.3811, 0.7542)
Pr (0.2286, 0.7714, 0.7500)
Pr (0.3811, 0.1217, 0.2542)
Pr (0.4785, 0.5215, 0.2500)
Pr (0.5215, 0.4785, 0.7500)
Pr (0.6189, 0.8783, 0.7458)
Pr (0.7714, 0.2286, 0.2500)
Pr (0.8783, 0.6189, 0.2458)
Pr (0.9813, 0.0187, 0.2500)
Ho (0.2208, 0.4720, 0.4421)
Ho (0.2719, 0.7281, 0.2500)
Ho (0.4720, 0.2208, 0.9421)
Ho (0.5280, 0.7792, 0.0579)
Ho (0.7281, 0.2719, 0.7500)
Ho (0.7792, 0.5280, 0.5579)

Main lines, by angle (10 to 90 degrees two-theta):
d (Å)  I_rel
3.058  93
2.888  100
2.810  22
2.700  46
2.521  25
1.873  22
1.539  23
1.494  26

Entry 6:
This entry pairs a crystal structure of Li2PrCd4 with its calculated X-ray diffraction stick pattern. Radiation: Cu Ka. Structure: a structure optimized by DFT (PBE).
No peak broadening, texture or thermal motion is included.

Atomic structure:
Cell lengths 8.4587, 8.4587, 4.2818 Å; angles 90.00, 90.00, 90.00 degrees
Fractional positions:
Li (0.2189, 0.2189, 0.0000)
Li (0.2811, 0.7189, 0.5000)
Li (0.7189, 0.2811, 0.5000)
Li (0.7811, 0.7811, 0.0000)
Pr (0.0000, 0.0000, 0.5000)
Pr (0.5000, 0.5000, 0.0000)
Cd (0.0843, 0.6653, 0.0000)
Cd (0.1653, 0.4157, 0.5000)
Cd (0.3347, 0.9157, 0.0000)
Cd (0.4157, 0.1653, 0.5000)
Cd (0.5843, 0.8347, 0.5000)
Cd (0.6653, 0.0843, 0.0000)
Cd (0.8347, 0.5843, 0.5000)
Cd (0.9157, 0.3347, 0.0000)

Main lines, by angle (10 to 90 degrees two-theta):
d (Å)  I_rel
3.482  35
2.835  100
2.675  56
2.452  47
2.269  26
2.141  24
1.671  27
1.573  31

Entry 7:
This entry pairs a crystal structure of CsTl10Pb3 with its calculated X-ray diffraction stick pattern. Radiation: Cu Ka. Structure: a structure optimized by DFT (PBE).
No peak broadening, texture or thermal motion is included.

Atomic structure:
Cell lengths 11.4814, 11.4814, 11.4814 Å; angles 60.00, 60.00, 60.00 degrees
Fractional positions:
Cs (0.2500, 0.2500, 0.2500)
Cs (0.7500, 0.7500, 0.7500)
Tl (0.0000, 0.0000, 0.3613)
Tl (0.0000, 0.0000, 0.6387)
Tl (0.0000, 0.3613, 0.0000)
Tl (0.0000, 0.3613, 0.6387)
Tl (0.0000, 0.6387, 0.0000)
Tl (0.0000, 0.6387, 0.3613)
Tl (0.1669, 0.6110, 0.6110)
Tl (0.3613, 0.0000, 0.0000)
Tl (0.3613, 0.0000, 0.6387)
Tl (0.3613, 0.6387, 0.0000)
Tl (0.3890, 0.3890, 0.3890)
Tl (0.3890, 0.3890, 0.8331)
Tl (0.3890, 0.8331, 0.3890)
Tl (0.6110, 0.1669, 0.6110)
Tl (0.6110, 0.6110, 0.1669)
Tl (0.6110, 0.6110, 0.6110)
Tl (0.6387, 0.0000, 0.0000)
Tl (0.6387, 0.0000, 0.3613)
Tl (0.6387, 0.3613, 0.0000)
Tl (0.8331, 0.3890, 0.3890)
Pb (0.2574, 0.2574, 0.7426)
Pb (0.2574, 0.7426, 0.2574)
Pb (0.2574, 0.7426, 0.7426)
Pb (0.7426, 0.2574, 0.2574)
Pb (0.7426, 0.2574, 0.7426)
Pb (0.7426, 0.7426, 0.2574)

Main lines, by angle (10 to 90 degrees two-theta):
d (Å)  I_rel
5.741  30
3.125  100
2.870  64
2.745  56
2.448  51
2.252  17
1.914  23
1.657  29

Entry 8:
This entry pairs a crystal structure of CsGeP2Se8 with its calculated X-ray diffraction stick pattern. Radiation: Cu Ka. Structure: a structure optimized by DFT (PBE).
No peak broadening, texture or thermal motion is included.

Atomic structure:
Cell lengths 6.2002, 6.2002, 10.9526 Å; angles 90.00, 90.00, 120.00 degrees
Fractional positions:
Cs (0.0000, 0.0000, 0.0000)
Ge (0.0000, 0.0000, 0.5000)
P (0.3333, 0.6667, 0.7086)
P (0.6667, 0.3333, 0.2914)
Se (0.0216, 0.6818, 0.3494)
Se (0.3182, 0.3397, 0.3494)
Se (0.3333, 0.6667, 0.9055)
Se (0.3397, 0.0216, 0.6506)
Se (0.6603, 0.9784, 0.3494)
Se (0.6667, 0.3333, 0.0945)
Se (0.6818, 0.6603, 0.6506)
Se (0.9784, 0.3182, 0.6506)

Main lines, by angle (10 to 90 degrees two-theta):
d (Å)  I_rel
4.821  19
3.834  54
3.651  38
2.983  100
2.698  86
2.439  20
2.052  26
1.790  62

Entry 9:
This entry pairs a crystal structure of Al2ZnSe2S2 with its calculated X-ray diffraction stick pattern. Radiation: Cu Ka. Structure: a structure optimized by DFT (PBE).
No peak broadening, texture or thermal motion is included.

Atomic structure:
Cell lengths 6.3282, 3.7888, 6.9232 Å; angles 90.00, 90.38, 90.00 degrees
Fractional positions:
Al (0.0000, 0.0000, 0.0000)
Al (0.4339, 0.0000, 0.3179)
Zn (0.9877, 0.5000, 0.5172)
Se (0.8311, 0.5000, 0.8408)
Se (0.8331, 0.0000, 0.3263)
S (0.3464, 0.0000, 0.0121)
S (0.3574, 0.5000, 0.4985)

Main lines, by angle (10 to 90 degrees two-theta):
d (Å)  I_rel
6.328  99
3.324  88
3.164  59
3.045  42
2.940  100
2.288  57
1.971  64
1.784  34

Entry 10:
This entry pairs a crystal structure of IrSe with its calculated X-ray diffraction stick pattern. Radiation: Cu Ka. Structure: a structure optimized by DFT (PBE).
No peak broadening, texture or thermal motion is included.

Atomic structure:
Cell lengths 9.4683, 9.4683, 3.6953 Å; angles 90.00, 90.00, 90.00 degrees
Fractional positions:
Ir (0.0839, 0.6251, 0.0000)
Ir (0.1213, 0.4029, 0.5000)
Ir (0.3749, 0.0839, 0.0000)
Ir (0.4029, 0.8787, 0.5000)
Ir (0.5971, 0.1213, 0.5000)
Ir (0.6251, 0.9161, 0.0000)
Ir (0.8787, 0.5971, 0.5000)
Ir (0.9161, 0.3749, 0.0000)
Se (0.1482, 0.7910, 0.5000)
Se (0.2090, 0.1482, 0.5000)
Se (0.2758, 0.4590, 0.0000)
Se (0.4590, 0.7242, 0.0000)
Se (0.5410, 0.2758, 0.0000)
Se (0.7242, 0.5410, 0.0000)
Se (0.7910, 0.8518, 0.5000)
Se (0.8518, 0.2090, 0.5000)

Main lines, by angle (10 to 90 degrees two-theta):
d (Å)  I_rel
6.695  100
2.994  18
2.784  41
2.367  14
2.141  81
1.857  18
1.848  13
1.310  12

Entry 11:
This entry pairs a crystal structure of Tb12Pm2Sm with its calculated X-ray diffraction stick pattern. Radiation: Cu Ka. Structure: a structure optimized by DFT (PBE).
No peak broadening, texture or thermal motion is included.

Atomic structure:
Cell lengths 6.6947, 6.6947, 24.8133 Å; angles 90.00, 90.00, 116.16 degrees
Fractional positions:
Tb (0.0009, 0.5009, 0.1278)
Tb (0.0009, 0.9991, 0.9217)
Tb (0.0133, 0.5133, 0.5837)
Tb (0.0161, 0.9839, 0.4391)
Tb (0.2500, 0.2500, 0.1997)
Tb (0.2500, 0.2500, 0.3276)
Tb (0.2500, 0.2500, 0.6724)
Tb (0.2500, 0.2500, 0.8003)
Tb (0.4839, 0.5161, 0.4391)
Tb (0.4867, 0.9867, 0.5837)
Tb (0.4991, 0.5009, 0.9217)
Tb (0.4991, 0.9991, 0.1278)
Tb (0.5009, 0.0009, 0.8722)
Tb (0.5009, 0.4991, 0.0783)
Tb (0.5133, 0.0133, 0.4163)
Tb (0.5161, 0.4839, 0.5609)
Tb (0.7500, 0.7500, 0.1997)
Tb (0.7500, 0.7500, 0.3276)
Tb (0.7500, 0.7500, 0.6724)
Tb (0.7500, 0.7500, 0.8003)
Tb (0.9839, 0.0161, 0.5609)
Tb (0.9867, 0.4867, 0.4163)
Tb (0.9991, 0.0009, 0.0783)
Tb (0.9991, 0.4991, 0.8722)
Pm (0.2500, 0.7500, 0.2714)
Pm (0.2500, 0.7500, 0.7340)
Pm (0.7500, 0.2500, 0.2660)
Pm (0.7500, 0.2500, 0.7286)
Sm (0.2500, 0.7500, 0.0003)
Sm (0.7500, 0.2500, 0.9997)

Main lines, by angle (10 to 90 degrees two-theta):
d (Å)  I_rel
3.008  69
2.920  99
2.841  100
2.824  30
2.723  75
2.704  62
2.431  62
1.502  31

Entry 12:
This entry pairs a crystal structure of Nd3InGa with its calculated X-ray diffraction stick pattern. Radiation: Cu Ka. Structure: a structure optimized by DFT (PBE).
No peak broadening, texture or thermal motion is included.

Atomic structure:
Cell lengths 9.7185, 9.1834, 5.9855 Å; angles 76.47, 66.74, 36.78 degrees
Fractional positions:
Nd (0.1908, 0.1908, 0.8092)
Nd (0.2057, 0.5931, 0.4069)
Nd (0.4069, 0.7943, 0.2057)
Nd (0.5931, 0.2057, 0.7943)
Nd (0.7943, 0.4069, 0.5931)
Nd (0.8092, 0.8092, 0.1908)
In (0.1969, 0.8031, 0.8031)
In (0.8031, 0.1969, 0.1969)
Ga (0.2500, 0.2500, 0.2500)
Ga (0.7500, 0.7500, 0.7500)

Main lines, by angle (10 to 90 degrees two-theta):
d (Å)  I_rel
3.586  32
3.170  36
2.914  81
2.876  93
2.734  68
2.719  100
2.429  66
1.624  39